The following is a calculated powder diffraction line list of PuCoH2O6. It was derived from a crystal structure in Alexandria, relaxed with GGA+U, using copper Kα.

```
data_PuCoH2O6
_space_group_name_H-M_alt 'P 1'
_space_group_IT_number 1
_space_group_name_Hall 'P 1'
_cell_length_a 5.0040
_cell_length_b 5.1483
_cell_length_c 5.3269
_cell_angle_alpha 62.72
_cell_angle_beta 89.87
_cell_angle_gamma 63.52
loop_
_atom_site_label
_atom_site_fract_x
_atom_site_fract_y
_atom_site_fract_z
Pu1 0.0000 0.0000 0.0000
Co1 0.4999 0.0000 0.5000
H1 0.3995 0.5430 0.7067
H2 0.6014 0.4562 0.2886
O1 0.1448 0.1063 0.2546
O2 0.2559 0.1109 0.7536
O3 0.4059 0.4562 0.2757
O4 0.5940 0.5439 0.7252
O5 0.7442 0.8890 0.2466
O6 0.8549 0.8941 0.7453
```

The 10 most intense peaks (10 to 80 degrees two-theta), by intensity:
- (1 0 -1), 2θ 24.46, I 100
- (0 1 0), 2θ 22.45, I 63
- (0 1 2), 2θ 33.71, I 35
- (0 0 1), 2θ 19.39, I 23
- (1 0 1), 2θ 31.84, I 23
- (1 1 0), 2θ 21.53, I 21
- (0 1 1), 2θ 20.85, I 21
- (1 0 0), 2θ 20.50, I 19
- (1 1 -1), 2θ 33.17, I 18
- (2 0 0), 2θ 41.69, I 17